# 1
For K3SbTe3, the PBE geometry in the Materials Project gives the calculated PXRD pattern in this record (λ = 1.5418 Å (Cu Kα)).

Most intense lines, 5 to 70 degrees two-theta, most intense first:
26.63 deg, intensity 100.0
20.55 deg, intensity 50.7
31.62 deg, intensity 50.0
14.49 deg, intensity 34.3
38.01 deg, intensity 31.2
43.59 deg, intensity 30.2
53.34 deg, intensity 25.0
64.70 deg, intensity 17.3

Structure:
```
K3SbTe3
1.0
10.5872 0.0000 0.0000
0.0000 10.5872 0.0000
0.0000 0.0000 10.5872
K Sb Te
12 4 12
Direct
0.0809 0.0809 0.0809
0.1786 0.3214 0.6786
0.1836 0.6836 0.8164
0.3164 0.3164 0.3164
0.3214 0.6786 0.1786
0.4191 0.9191 0.5809
0.5809 0.4191 0.9191
0.6786 0.1786 0.3214
0.6836 0.8164 0.1836
0.8164 0.1836 0.6836
0.8214 0.8214 0.8214
0.9191 0.5809 0.4191
0.0290 0.9710 0.4710
0.4710 0.0290 0.9710
0.5290 0.5290 0.5290
0.9710 0.4710 0.0290
0.0023 0.2244 0.3916
0.1084 0.9977 0.7244
0.2244 0.3916 0.0023
0.2756 0.6084 0.5023
0.3916 0.0023 0.2244
0.4977 0.7756 0.8916
0.5023 0.2756 0.6084
0.6084 0.5023 0.2756
0.7244 0.1084 0.9977
0.7756 0.8916 0.4977
0.8916 0.4977 0.7756
0.9977 0.7244 0.1084
```

=====

# 2
For TbB4, the PBE geometry in the Materials Project gives the calculated PXRD pattern in this record (λ = 1.5418 Å (Cu Kα)).

Most intense lines, 5 to 70 degrees two-theta, most intense first:
35.94 deg, intensity 100.0
28.03 deg, intensity 77.3
22.05 deg, intensity 58.0
33.59 deg, intensity 54.3
25.02 deg, intensity 38.2
58.12 deg, intensity 34.6
53.04 deg, intensity 29.6
53.83 deg, intensity 26.2

Structure:
```
TbB4
1.0
7.1192 0.0000 0.0000
0.0000 7.1192 0.0000
0.0000 0.0000 4.0315
Tb B
4 16
Direct
0.1824 0.3176 0.0000
0.3176 0.8176 0.0000
0.6824 0.1824 0.0000
0.8176 0.6824 0.0000
0.0000 0.0000 0.2032
0.0000 0.0000 0.7968
0.0389 0.8242 0.5000
0.0872 0.5872 0.5000
0.1758 0.0389 0.5000
0.3242 0.5389 0.5000
0.4128 0.0872 0.5000
0.4611 0.3242 0.5000
0.5000 0.5000 0.2032
0.5000 0.5000 0.7968
0.5389 0.6758 0.5000
0.5872 0.9128 0.5000
0.6758 0.4611 0.5000
0.8242 0.9611 0.5000
0.9128 0.4128 0.5000
0.9611 0.1758 0.5000
```

=====

# 3
For SnCI3N2, the PBE geometry in the Materials Project gives the calculated PXRD pattern in this record (λ = 1.5418 Å (Cu Kα)).

Most intense lines, 5 to 70 degrees two-theta, most intense first:
29.61 deg, intensity 100.0
14.68 deg, intensity 96.4
25.62 deg, intensity 84.9
42.51 deg, intensity 72.5
33.21 deg, intensity 71.5
29.81 deg, intensity 59.5
14.78 deg, intensity 46.2
45.21 deg, intensity 38.3

Structure:
```
SnCI3N2
1.0
-6.0324 6.0370 5.9947
6.0324 -6.0370 5.9947
6.0324 6.0370 -5.9947
Sn C I N
4 4 12 8
Direct
0.2498 0.2501 0.4999
0.2498 0.7499 0.9997
0.7502 0.2501 0.0003
0.7502 0.7499 0.5001
0.2158 0.2158 0.0000
0.2647 0.7647 0.5000
0.7576 0.7576 0.0000
0.7736 0.2736 0.5000
0.0027 0.2815 0.2788
0.0027 0.7238 0.7212
0.0083 0.0042 0.5052
0.0083 0.5030 0.0041
0.2338 0.0048 0.2290
0.2876 0.5038 0.7838
0.4990 0.0042 0.9959
0.4990 0.5030 0.4948
0.5138 0.2373 0.7236
0.5138 0.7902 0.2764
0.7199 0.5038 0.2162
0.7757 0.0048 0.7710
0.1614 0.7637 0.3977
0.2177 0.1152 0.8974
0.2177 0.3203 0.1026
0.3660 0.7637 0.6023
0.6709 0.2732 0.3977
0.7579 0.6553 0.8974
0.7579 0.8605 0.1026
0.8754 0.2732 0.6023
```

=====

# 4
For Ba2YNbO6, the PBE geometry in the Materials Project gives the calculated PXRD pattern in this record (λ = 1.5418 Å (Cu Kα)).

Most intense lines, 5 to 70 degrees two-theta, most intense first:
29.55 deg, intensity 100.0
52.43 deg, intensity 41.0
42.29 deg, intensity 30.7
61.34 deg, intensity 18.7
69.54 deg, intensity 17.7
36.41 deg, intensity 6.3
20.78 deg, intensity 1.0
47.57 deg, intensity 0.8

Structure:
```
Ba2YNbO6
1.0
8.5491 0.0000 0.0000
0.0000 8.5491 0.0000
0.0000 0.0000 8.5491
Ba Y Nb O
8 4 4 24
Direct
0.2500 0.2500 0.2500
0.2500 0.2500 0.7500
0.2500 0.7500 0.2500
0.2500 0.7500 0.7500
0.7500 0.2500 0.2500
0.7500 0.2500 0.7500
0.7500 0.7500 0.2500
0.7500 0.7500 0.7500
0.0000 0.0000 0.0000
0.0000 0.5000 0.5000
0.5000 0.0000 0.5000
0.5000 0.5000 0.0000
0.0000 0.0000 0.5000
0.0000 0.5000 0.0000
0.5000 0.0000 0.0000
0.5000 0.5000 0.5000
0.0171 0.5188 0.7640
0.0171 0.9812 0.7360
0.0188 0.2360 0.5171
0.0188 0.2640 0.9829
0.2360 0.5171 0.0188
0.2360 0.9829 0.4812
0.2640 0.5171 0.4812
0.2640 0.9829 0.0188
0.4812 0.2360 0.9829
0.4812 0.2640 0.5171
0.4829 0.5188 0.7360
0.4829 0.9812 0.7640
0.5171 0.0188 0.2360
0.5171 0.4812 0.2640
0.5188 0.7360 0.4829
0.5188 0.7640 0.0171
0.7360 0.0171 0.9812
0.7360 0.4829 0.5188
0.7640 0.0171 0.5188
0.7640 0.4829 0.9812
0.9812 0.7360 0.0171
0.9812 0.7640 0.4829
0.9829 0.0188 0.2640
0.9829 0.4812 0.2360
```

=====

# 5
For PmSe2, the PBE geometry in the Materials Project gives the calculated PXRD pattern in this record (λ = 1.5418 Å (Cu Kα)).

Most intense lines, 5 to 70 degrees two-theta, most intense first:
37.00 deg, intensity 100.0
32.03 deg, intensity 69.9
38.34 deg, intensity 47.4
30.21 deg, intensity 41.1
31.51 deg, intensity 34.9
43.16 deg, intensity 31.6
23.65 deg, intensity 25.6
43.34 deg, intensity 25.4

Structure:
```
PmSe2
1.0
8.5177 0.0000 0.0000
0.0000 4.1752 0.0000
-0.0266 0.0000 8.3843
Pm Se
4 8
Direct
0.2258 0.2229 0.3736
0.2258 0.2771 0.8736
0.7742 0.7229 0.1264
0.7742 0.7771 0.6264
0.1313 0.7437 0.1252
0.1313 0.7563 0.6252
0.4981 0.6889 0.3809
0.4981 0.8111 0.8809
0.5019 0.1889 0.1191
0.5019 0.3111 0.6191
0.8687 0.2437 0.3748
0.8687 0.2563 0.8748
```

=====

# 6
For LiAl2Au, the PBE geometry in the Materials Project gives the calculated PXRD pattern in this record (λ = 1.5418 Å (Cu Kα)).

Most intense lines, 5 to 70 degrees two-theta, most intense first:
24.65 deg, intensity 100.0
40.80 deg, intensity 72.7
48.26 deg, intensity 51.2
28.54 deg, intensity 30.9
64.99 deg, intensity 21.2
59.08 deg, intensity 12.3
66.90 deg, intensity 11.9
50.55 deg, intensity 9.1

Structure:
```
LiAl2Au
1.0
0.0000 3.1274 3.1274
3.1274 0.0000 3.1274
3.1274 3.1274 0.0000
Li Al Au
1 2 1
Direct
0.0000 0.0000 0.0000
0.2500 0.2500 0.2500
0.7500 0.7500 0.7500
0.5000 0.5000 0.5000
```